[1]
Diffraction record for RbH2O2F. The powder XRD pattern is simulated, not measured: it uses the GGA-PBE geometry in Alexandria and Cu Kα, 1.54184 Å.
Peak positions follow from Bragg's law for the DFT cell and can differ from measured ones.

Top 12 peaks for 10 to 90 degrees two-theta, sorted by position:
- (2 2 0), 20.63 deg, d 4.305, I = 618
- (1 0 1), 20.91 deg, d 4.249, I = 193
- (1 1 1), 22.16 deg, d 4.011, I = 442
- (2 2 1), 28.59 deg, d 3.122, I = 380
- (4 0 0), 29.34 deg, d 3.044, I = 939
- (3 1 1), 30.46 deg, d 2.935, I = 1000
- (3 2 1), 33.08 deg, d 2.708, I = 395
- (4 1 1), 36.31 deg, d 2.474, I = 171
- (3 3 1), 37.07 deg, d 2.425, I = 215
- (4 4 0), 41.97 deg, d 2.152, I = 452
- (5 0 1), 42.12 deg, d 2.145, I = 186
- (5 1 1), 42.80 deg, d 2.113, I = 339

Atomic structure:
a = 12.1760 Å, b = 12.1760 Å, c = 4.5336 Å
α = 90.00°, β = 90.00°, γ = 90.00°
Space group P-42_1m (No. 113)
Inequivalent atoms, fractional coordinates:
Rb 0.0000 0.0000 0.0000 (multiplicity 2)
Rb 0.0000 0.5000 0.2488 (multiplicity 2)
Rb 0.2381 0.2619 0.2465 (multiplicity 4)
H 0.0423 0.2850 0.7225 (multiplicity 8)
H 0.0688 0.7403 0.3038 (multiplicity 8)
O 0.9995 0.2149 0.3544 (multiplicity 8)
O 0.0044 0.7827 0.6791 (multiplicity 8)
F 0.1130 0.3870 0.7756 (multiplicity 4)
F 0.1672 0.6672 0.2434 (multiplicity 4)

---

[2]
Diffraction record for Y2Mg2Cu. The powder XRD pattern is simulated, not measured: it uses the GGA-PBE geometry in Alexandria and Cu Kα, 1.54184 Å.
Peak positions follow from Bragg's law for the DFT cell and can differ from measured ones.

Top 12 peaks for 10 to 90 degrees two-theta, sorted by position:
- (2 0 -1), 14.31 deg, d 6.188, I = 297
- (1 1 1), 28.82 deg, d 3.098, I = 136
- (4 0 2), 34.30 deg, d 2.614, I = 435
- (5 1 0), 34.63 deg, d 2.591, I = 980
- (6 0 -2), 34.78 deg, d 2.580, I = 491
- (1 1 -2), 35.52 deg, d 2.527, I = 1000
- (10 0 0), 48.28 deg, d 1.885, I = 131
- (2 0 -4), 50.99 deg, d 1.791, I = 134
- (0 2 0), 51.24 deg, d 1.783, I = 173
- (11 1 -2), 61.66 deg, d 1.504, I = 134
- (4 2 2), 63.12 deg, d 1.473, I = 138
- (6 2 -2), 63.41 deg, d 1.467, I = 301

Atomic structure:
a = 19.1410 Å, b = 3.5660 Å, c = 7.1648 Å
α = 90.00°, β = 100.02°, γ = 90.00°
Space group Cm (No. 8)
Inequivalent atoms, fractional coordinates:
Y 0.0000 0.0000 0.0000 (multiplicity 2)
Y 0.0088 0.0000 0.5115 (multiplicity 2)
Y 0.1872 0.0000 0.5597 (multiplicity 2)
Y 0.3157 0.5000 0.8817 (multiplicity 2)
Mg 0.1178 0.5000 0.8431 (multiplicity 2)
Mg 0.2063 0.0000 0.1250 (multiplicity 2)
Mg 0.3206 0.5000 0.4401 (multiplicity 2)
Mg 0.3988 0.0000 0.2225 (multiplicity 2)
Cu 0.0915 0.5000 0.2789 (multiplicity 2)
Cu 0.4098 0.0000 0.6958 (multiplicity 2)

---

[3]
Diffraction record for RbInIBr. The powder XRD pattern is simulated, not measured: it uses the GGA-PBE geometry in Alexandria and Cu Kα, 1.54184 Å.
Peak positions follow from Bragg's law for the DFT cell and can differ from measured ones.

Top 12 peaks for 10 to 90 degrees two-theta, sorted by position:
- (1 1 1), 18.15 deg, d 4.888, I = 36
- (2 2 0), 29.85 deg, d 2.993, I = 1000
- (3 1 1), 35.15 deg, d 2.553, I = 21
- (4 0 0), 42.72 deg, d 2.117, I = 184
- (3 3 1), 46.77 deg, d 1.942, I = 10
- (4 2 2), 52.98 deg, d 1.728, I = 386
- (5 1 1), 56.47 deg, d 1.629, I = 7
- (4 4 0), 62.00 deg, d 1.497, I = 119
- (5 3 1), 65.19 deg, d 1.431, I = 7
- (6 2 0), 70.32 deg, d 1.339, I = 164
- (4 4 4), 78.22 deg, d 1.222, I = 41
- (6 4 2), 85.90 deg, d 1.131, I = 197

Atomic structure:
a = 8.4667 Å, b = 8.4667 Å, c = 8.4667 Å
α = 90.00°, β = 90.00°, γ = 90.00°
Space group F-43m (No. 216)
Inequivalent atoms, fractional coordinates:
Rb 0.0000 0.0000 0.0000 (multiplicity 4)
In 0.0000 0.0000 0.5000 (multiplicity 4)
I 0.2500 0.2500 0.2500 (multiplicity 4)
Br 0.2500 0.2500 0.7500 (multiplicity 4)

---

[4]
Diffraction record for YSc2Hg2. The powder XRD pattern is simulated, not measured: it uses the GGA-PBE geometry in Alexandria and Cu Kα, 1.54184 Å.
Peak positions follow from Bragg's law for the DFT cell and can differ from measured ones.

Top 12 peaks for 10 to 90 degrees two-theta, sorted by position:
- (0 4 1), 22.16 deg, d 4.012, I = 199
- (1 1 0), 24.84 deg, d 3.585, I = 158
- (0 6 1), 26.95 deg, d 3.309, I = 124
- (0 10 0), 34.28 deg, d 2.616, I = 240
- (1 5 1), 34.94 deg, d 2.568, I = 1000
- (0 0 2), 35.34 deg, d 2.540, I = 250
- (1 1 2), 43.68 deg, d 2.072, I = 87
- (0 10 2), 50.05 deg, d 1.822, I = 163
- (2 0 0), 50.44 deg, d 1.809, I = 90
- (1 15 1), 61.81 deg, d 1.501, I = 147
- (2 0 2), 63.14 deg, d 1.472, I = 269
- (2 10 2), 73.80 deg, d 1.284, I = 103

Atomic structure:
a = 3.6189 Å, b = 26.1598 Å, c = 5.0801 Å
α = 90.00°, β = 90.00°, γ = 90.00°
Space group Cmcm (No. 63)
Inequivalent atoms, fractional coordinates:
Y 0.0000 0.1466 0.2500 (multiplicity 4)
Sc 0.0000 0.0490 0.7500 (multiplicity 4)
Sc 0.0000 0.2384 0.7500 (multiplicity 4)
Hg 0.0000 0.3524 0.2500 (multiplicity 4)
Hg 0.0000 0.4570 0.7500 (multiplicity 4)

---

[5]
Diffraction record for K2H3Au. The powder XRD pattern is simulated, not measured: it uses the GGA-PBE geometry in Alexandria and Cu Kα, 1.54184 Å.
Peak positions follow from Bragg's law for the DFT cell and can differ from measured ones.

Top 12 peaks for 10 to 90 degrees two-theta, sorted by position:
- (1 1 0), 16.08 deg, d 5.513, I = 1000
- (1 1 -1), 17.97 deg, d 4.936, I = 156
- (2 0 0), 18.65 deg, d 4.757, I = 368
- (0 0 2), 27.57 deg, d 3.236, I = 380
- (1 1 -2), 27.78 deg, d 3.212, I = 412
- (3 1 -1), 27.92 deg, d 3.196, I = 257
- (0 2 1), 29.81 deg, d 2.997, I = 434
- (3 1 0), 31.15 deg, d 2.871, I = 407
- (3 1 -2), 31.28 deg, d 2.859, I = 388
- (2 2 0), 32.48 deg, d 2.756, I = 165
- (4 0 -2), 34.30 deg, d 2.615, I = 145
- (2 2 -2), 36.40 deg, d 2.468, I = 165

Atomic structure:
a = 10.8780 Å, b = 6.7638 Å, c = 7.3986 Å
α = 90.00°, β = 119.00°, γ = 90.00°
Space group C2/c (No. 15)
Inequivalent atoms, fractional coordinates:
K 0.1611 0.1645 0.1870 (multiplicity 8)
H 0.0000 0.1496 0.7500 (multiplicity 4)
H 0.1652 0.4931 0.9327 (multiplicity 8)
Au 0.0000 0.4331 0.7500 (multiplicity 4)

---

[6]
Diffraction record for La6In2CoOs. The powder XRD pattern is simulated, not measured: it uses the GGA-PBE geometry in Alexandria and Cu Kα, 1.54184 Å.
Peak positions follow from Bragg's law for the DFT cell and can differ from measured ones.

Top 12 peaks for 10 to 90 degrees two-theta, sorted by position:
- (1 1 0), 16.29 deg, d 5.441, I = 273
- (2 0 0), 23.12 deg, d 3.847, I = 128
- (2 0 2), 28.41 deg, d 3.141, I = 752
- (2 2 0), 32.92 deg, d 2.721, I = 1000
- (3 1 0), 36.94 deg, d 2.433, I = 142
- (4 0 0), 47.25 deg, d 1.924, I = 722
- (4 2 2), 56.02 deg, d 1.642, I = 219
- (2 0 6), 56.14 deg, d 1.638, I = 109
- (4 0 4), 58.79 deg, d 1.571, I = 248
- (6 2 0), 78.58 deg, d 1.217, I = 211
- (2 2 8), 78.76 deg, d 1.215, I = 105
- (6 2 4), 87.86 deg, d 1.111, I = 163

Atomic structure:
a = 7.7022 Å, b = 7.7022 Å, c = 10.8614 Å
α = 90.00°, β = 90.00°, γ = 90.00°
Space group I4/mmm (No. 139)
Inequivalent atoms, fractional coordinates:
La 0.0000 0.0000 0.2458 (multiplicity 4)
La 0.2460 0.2460 0.0000 (multiplicity 8)
In 0.0000 0.5000 0.2500 (multiplicity 4)
Co 0.0000 0.0000 0.0000 (multiplicity 2)
Os 0.0000 0.0000 0.5000 (multiplicity 2)

---

[7]
Diffraction record for Pr6Sm12Pb. The powder XRD pattern is simulated, not measured: it uses the GGA-PBE geometry in Alexandria and Cu Kα, 1.54184 Å.
Peak positions follow from Bragg's law for the DFT cell and can differ from measured ones.

Top 12 peaks for 10 to 90 degrees two-theta, sorted by position:
- (1 0 1), 10.23 deg, d 8.648, I = 154
- (1 0 4), 28.32 deg, d 3.151, I = 389
- (0 3 3), 31.02 deg, d 2.883, I = 967
- (3 1 2), 31.17 deg, d 2.870, I = 636
- (4 0 1), 31.84 deg, d 2.810, I = 1000
- (0 4 2), 34.03 deg, d 2.635, I = 278
- (0 1 5), 35.11 deg, d 2.556, I = 185
- (3 0 6), 47.92 deg, d 1.898, I = 286
- (4 4 0), 55.30 deg, d 1.661, I = 138
- (4 3 4), 56.13 deg, d 1.639, I = 246
- (0 7 2), 57.82 deg, d 1.595, I = 159
- (7 -4 5), 60.33 deg, d 1.534, I = 181

Atomic structure:
a = 13.2899 Å, b = 13.2899 Å, c = 13.1060 Å
α = 90.00°, β = 90.00°, γ = 120.00°
Space group R-3 (No. 148, hexagonal axes)
Inequivalent atoms, fractional coordinates:
Pr 0.0904 0.9079 0.2742 (multiplicity 18)
Sm 0.0007 0.7414 0.5003 (multiplicity 18)
Sm 0.0594 0.5294 0.6118 (multiplicity 18)
Pb 0.0000 0.0000 0.5000 (multiplicity 3)

---

[8]
Diffraction record for Y7ReO14. The powder XRD pattern is simulated, not measured: it uses the GGA-PBE geometry in Alexandria and Cu Kα, 1.54184 Å.
Peak positions follow from Bragg's law for the DFT cell and can differ from measured ones.

Top 12 peaks for 10 to 90 degrees two-theta, sorted by position:
- (0 1 1), 14.31 deg, d 6.191, I = 177
- (2 2 0), 28.78 deg, d 3.102, I = 984
- (0 2 2), 28.91 deg, d 3.089, I = 1000
- (2 0 2), 33.35 deg, d 2.687, I = 390
- (0 4 0), 33.58 deg, d 2.669, I = 173
- (4 0 0), 47.72 deg, d 1.906, I = 163
- (2 4 2), 48.05 deg, d 1.893, I = 785
- (4 2 2), 56.76 deg, d 1.622, I = 283
- (2 2 4), 56.98 deg, d 1.616, I = 252
- (2 6 0), 57.17 deg, d 1.611, I = 249
- (2 6 4), 77.78 deg, d 1.228, I = 147
- (2 4 6), 89.69 deg, d 1.093, I = 112

Atomic structure:
a = 7.6240 Å, b = 10.6752 Å, c = 7.5744 Å
α = 90.00°, β = 90.00°, γ = 90.00°
Space group Pnnm (No. 58)
Inequivalent atoms, fractional coordinates:
Y 0.0000 0.0000 0.0000 (multiplicity 2)
Y 0.0000 0.0000 0.5000 (multiplicity 2)
Y 0.0000 0.5000 0.0000 (multiplicity 2)
Y 0.2401 0.2642 0.2672 (multiplicity 8)
Re 0.0000 0.5000 0.5000 (multiplicity 2)
O 0.0091 0.1346 0.2302 (multiplicity 8)
O 0.0653 0.6115 0.3207 (multiplicity 8)
O 0.2242 0.3644 0.0000 (multiplicity 4)
O 0.2245 0.4174 0.5000 (multiplicity 4)
O 0.2338 0.6362 0.0000 (multiplicity 4)